(1)
Theoretical powder X-ray diffraction pattern of Tl12AgPb3 for copper Kα, from a cell relaxed with PBE.

Structure:
Lattice parameters (Å, degrees): 4.994 4.994 19.134 90.00 90.00 90.00
Fractional positions:
1 Tl 0.000 0.000 0.000
2 Tl 0.000 0.000 0.244
3 Tl 0.000 0.000 0.500
4 Tl 0.000 0.000 0.756
5 Tl 0.000 0.500 0.116
6 Tl 0.000 0.500 0.374
7 Tl 0.000 0.500 0.626
8 Tl 0.000 0.500 0.884
9 Tl 0.500 0.000 0.116
10 Tl 0.500 0.000 0.374
11 Tl 0.500 0.000 0.626
12 Tl 0.500 0.000 0.884
13 Ag 0.500 0.500 0.000
14 Pb 0.500 0.500 0.245
15 Pb 0.500 0.500 0.500
16 Pb 0.500 0.500 0.755

Most intense lines, 10° ≤ 2θ ≤ 90°, in order of falling intensity:
| 2θ/deg | Rel. int. |
| --- | --- |
| 31.49 | 100.0 |
| 35.97 | 35.9 |
| 61.87 | 29.9 |
| 53.02 | 22.5 |
| 37.61 | 14.9 |
| 51.78 | 12.9 |

(2)
Theoretical powder X-ray diffraction pattern of Tc3Ni4 for copper Kα, from a cell relaxed with PBE.

Structure:
Lattice parameters (Å, degrees): 9.566 9.566 9.566 161.55 161.55 26.21
Fractional positions:
1 Tc 0.000 0.000 0.000
2 Tc 0.288 0.288 0.000
3 Tc 0.712 0.712 0.000
4 Ni 0.135 0.135 0.000
5 Ni 0.427 0.427 0.000
6 Ni 0.573 0.573 0.000
7 Ni 0.865 0.865 0.000

Most intense lines, 10° ≤ 2θ ≤ 90°, in order of falling intensity:
| 2θ/deg | Rel. int. |
| --- | --- |
| 45.10 | 100.0 |
| 41.64 | 65.6 |
| 78.43 | 36.0 |
| 60.36 | 20.8 |
| 85.62 | 13.0 |
| 32.56 | 8.1 |

(3)
Theoretical powder X-ray diffraction pattern of V12FeGe6 for copper Kα, from a cell relaxed with PBE.

Structure:
Lattice parameters (Å, degrees): 7.096 7.096 7.096 110.72 110.72 110.72
Fractional positions:
1 V 0.033 0.179 0.297
2 V 0.179 0.297 0.033
3 V 0.240 0.681 0.605
4 V 0.297 0.033 0.179
5 V 0.319 0.395 0.760
6 V 0.395 0.760 0.319
7 V 0.605 0.240 0.681
8 V 0.681 0.605 0.240
9 V 0.703 0.967 0.821
10 V 0.760 0.319 0.395
11 V 0.821 0.703 0.967
12 V 0.967 0.821 0.703
13 Fe 0.500 0.500 0.500
14 Ge 0.079 0.571 0.859
15 Ge 0.141 0.921 0.429
16 Ge 0.429 0.141 0.921
17 Ge 0.571 0.859 0.079
18 Ge 0.859 0.079 0.571
19 Ge 0.921 0.429 0.141

Most intense lines, 10° ≤ 2θ ≤ 90°, in order of falling intensity:
| 2θ/deg | Rel. int. |
| --- | --- |
| 41.22 | 100.0 |
| 47.82 | 63.4 |
| 40.73 | 36.1 |
| 69.60 | 18.7 |
| 84.54 | 18.3 |
| 70.28 | 15.6 |

(4)
Theoretical powder X-ray diffraction pattern of Er8Cu2Ir for copper Kα, from a cell relaxed with PBE.

Structure:
Lattice parameters (Å, degrees): 7.698 7.698 5.862 101.29 101.29 116.06
Fractional positions:
1 Er 0.000 0.000 0.000
2 Er 0.020 0.271 0.590
3 Er 0.160 0.563 0.193
4 Er 0.271 0.020 0.590
5 Er 0.453 0.704 0.816
6 Er 0.563 0.160 0.193
7 Er 0.704 0.453 0.816
8 Er 0.722 0.722 0.380
9 Cu 0.052 0.660 0.685
10 Cu 0.660 0.052 0.685
11 Ir 0.360 0.360 0.018

Most intense lines, 10° ≤ 2θ ≤ 90°, in order of falling intensity:
| 2θ/deg | Rel. int. |
| --- | --- |
| 31.25 | 100.0 |
| 33.86 | 58.1 |
| 38.16 | 54.5 |
| 36.32 | 47.8 |
| 31.96 | 47.5 |
| 33.44 | 46.8 |